For Na2MnTeO6, DFT lattice parameters and positions (PBE+U) gives the theoretical X-ray diffraction stick pattern in this record (Cu Kα).
Intensities are scaled so that the largest is 100.

Lattice parameters (Å, degrees): 5.4913 5.4913 3.9007 90.00 90.00 90.00
Fractional coordinates of all 10 atoms:
Na1 0.0000 0.5000 0.0000
Na2 0.5000 0.0000 0.0000
Mn1 0.0000 0.0000 0.5000
Te1 0.5000 0.5000 0.5000
O1 0.0000 0.0000 0.0000
O2 0.2540 0.2540 0.5000
O3 0.2540 0.7460 0.5000
O4 0.5000 0.5000 0.0000
O5 0.7460 0.2540 0.5000
O6 0.7460 0.7460 0.5000

Most intense lines, 2θ = 10–80°, in order of rising 2θ:
d (Å)	2theta	I_rel
5.491	16.14	22
3.901	22.80	31
3.883	22.90	60
2.750	32.56	100
1.950	46.57	16
1.941	46.79	32
1.737	52.69	22
1.590	58.01	13
1.586	58.15	25
1.376	68.15	18